# 1
# RbNiPdSe2
Calculated powder XRD pattern, Cu Kα X-rays. Input: a PBE-relaxed structure.

Main lines, by intensity (2θ = 10–80°):
d_spacing, Rel. int., hkl
2.607, 100, 1 1 1
7.221, 100, 0 0 1
1.824, 98, 1 1 3
2.743, 86, 0 1 2
2.211, 65, 1 1 2
3.317, 56, 1 0 1

Crystal structure
```
data_RbNiPdSe2
_cell_length_a 3.734
_cell_length_b 4.217
_cell_length_c 7.221
_cell_angle_alpha 90.00
_cell_angle_beta 90.00
_cell_angle_gamma 90.00
_symmetry_space_group_name_H-M 'P m m m'
_symmetry_Int_Tables_number 47
_symmetry_space_group_name_Hall '-P 2 2'
loop_
_atom_site_label
_atom_site_type_symbol
_atom_site_fract_x
_atom_site_fract_y
_atom_site_fract_z
_atom_site_occupancy
Rb1 Rb 0.000 0.000 0.000 1
Ni1 Ni 0.000 0.500 0.500 1
Pd1 Pd 0.500 0.000 0.500 1
Se1 Se 0.500 0.500 0.289 1
```

---

# 2
# Ce2PuGe2Ru5
Calculated powder XRD pattern, Cu Kα X-rays. Input: a PBE-relaxed structure.

Main lines, by intensity (2θ = 10–80°):
d_spacing, Rel. int., hkl
2.377, 100, 3 1 1
2.443, 29, 4 1 0
2.522, 27, 2 2 1
2.252, 23, 4 2 0
2.201, 20, 3 2 1
2.798, 16, 2 1 1

Crystal structure
```
data_Ce2PuGe2Ru5
_cell_length_a 10.073
_cell_length_b 10.073
_cell_length_c 3.572
_cell_angle_alpha 90.00
_cell_angle_beta 90.00
_cell_angle_gamma 90.00
_symmetry_space_group_name_H-M 'P 4/m b m'
_symmetry_Int_Tables_number 127
_symmetry_space_group_name_Hall '-P 4 2ab'
loop_
_atom_site_label
_atom_site_type_symbol
_atom_site_fract_x
_atom_site_fract_y
_atom_site_fract_z
_atom_site_occupancy
Ce1 Ce 0.171 0.329 0.000 1
Pu1 Pu 0.000 0.000 0.000 1
Ge1 Ge 0.125 0.625 0.000 1
Ru1 Ru 0.000 0.500 0.500 1
Ru2 Ru 0.070 0.791 0.500 1
```

---

# 3
# Cs8Br6Cl
Calculated powder XRD pattern, Cu Kα X-rays. Input: a PBE-relaxed structure.

Main lines, by intensity (2θ = 10–80°):
d_spacing, Rel. int., hkl
3.198, 100, 2 1 1
3.119, 79, 1 1 2
3.104, 62, 3 0 0
4.400, 31, 2 -1 1
3.829, 28, 0 0 2
2.066, 27, 3 -1 3

Crystal structure
```
data_Cs8Br6Cl
_cell_length_a 10.7517
_cell_length_b 10.7517
_cell_length_c 7.6570
_cell_angle_alpha 90.00
_cell_angle_beta 90.00
_cell_angle_gamma 120.00
_symmetry_space_group_name_H-M 'P -3 1 m'
_symmetry_Int_Tables_number 162
_symmetry_space_group_name_Hall '-P 3 2'
loop_
_atom_site_label
_atom_site_type_symbol
_atom_site_fract_x
_atom_site_fract_y
_atom_site_fract_z
_atom_site_occupancy
Cs1 Cs 0.0000 0.2654 0.2619 1
Cs2 Cs 0.3333 0.6667 0.0000 1
Br1 Br 0.0000 0.3838 0.7735 1
Cl1 Cl 0.0000 0.0000 0.0000 1
```

---

# 4
# Hf4ZrScPa2
Calculated powder XRD pattern, Cu Kα X-rays. Input: a PBE-relaxed structure.

Main lines, by intensity (2θ = 10–80°):
d_spacing, Rel. int., hkl
2.647, 100, 2 2 0
1.985, 86, 2 2 4
3.001, 69, 0 0 4
2.659, 53, 0 4 0
1.990, 44, 0 4 4
1.306, 32, 2 2 8

Crystal structure
```
data_Hf4ZrScPa2
_cell_length_a 6.103
_cell_length_b 10.638
_cell_length_c 12.004
_cell_angle_alpha 90.00
_cell_angle_beta 90.00
_cell_angle_gamma 90.00
_symmetry_space_group_name_H-M 'I m m a'
_symmetry_Int_Tables_number 74
_symmetry_space_group_name_Hall '-I 2b 2'
loop_
_atom_site_label
_atom_site_type_symbol
_atom_site_fract_x
_atom_site_fract_y
_atom_site_fract_z
_atom_site_occupancy
Hf1 Hf 0.000 0.001 0.244 1
Hf2 Hf 0.245 0.250 0.505 1
Zr1 Zr 0.000 0.000 0.000 1
Sc1 Sc 0.250 0.250 0.750 1
Pa1 Pa 0.000 0.000 0.500 1
Pa2 Pa 0.250 0.250 0.250 1
```

---

# 5
# Tm2SiPRh6
Calculated powder XRD pattern, Cu Kα X-rays. Input: a PBE-relaxed structure.

Main lines, by intensity (2θ = 10–80°):
d_spacing, Rel. int., hkl
2.399, 100, 2 2 0
2.731, 91, 0 2 2
2.243, 71, 2 0 2
2.141, 44, 0 4 0
1.549, 40, 2 4 2
1.949, 28, 1 2 3

Crystal structure
```
data_Tm2SiPRh6
_cell_length_a 5.793
_cell_length_b 8.564
_cell_length_c 7.094
_cell_angle_alpha 90.00
_cell_angle_beta 90.00
_cell_angle_gamma 90.00
_symmetry_space_group_name_H-M 'P m m n'
_symmetry_Int_Tables_number 59
loop_
_symmetry_equiv_pos_as_xyz
'x,y,z'
'-x,-y,-z'
'-x+1/2,-y+1/2,z'
'x+1/2,y+1/2,-z'
'x+1/2,-y,-z'
'-x+1/2,y,z'
'-x,y+1/2,-z'
'x,-y+1/2,z'
loop_
_atom_site_label
_atom_site_type_symbol
_atom_site_fract_x
_atom_site_fract_y
_atom_site_fract_z
_atom_site_occupancy
Tm1 Tm 0.250 0.018 0.235 1
Si1 Si 0.250 0.750 0.780 1
P1 P 0.250 0.250 0.735 1
Rh1 Rh 0.008 0.750 0.038 1
Rh2 Rh 0.012 0.750 0.499 1
Rh3 Rh 0.250 0.501 0.645 1
```